CeMoBrO4: calculated X-ray diffraction stick pattern (a wavelength of 1.5418 Å), based on a cell relaxed with GGA+U.
No peak broadening, texture or thermal motion is included.

Crystal structure
a b c (Å): 10.152 6.004 7.563
angles (deg): 90.00 90.23 90.00
Element x y z (fractional)
Ce (0.227, 0.200, 0.123)
Ce (0.227, 0.300, 0.623)
Ce (0.773, 0.700, 0.377)
Ce (0.773, 0.800, 0.877)
Mo (0.356, 0.749, 0.876)
Mo (0.356, 0.751, 0.376)
Mo (0.644, 0.249, 0.624)
Mo (0.644, 0.251, 0.124)
Br (0.014, 0.742, 0.621)
Br (0.014, 0.758, 0.121)
Br (0.986, 0.242, 0.879)
Br (0.986, 0.258, 0.379)
O (0.265, 0.035, 0.417)
O (0.265, 0.465, 0.917)
O (0.270, 0.033, 0.833)
O (0.270, 0.467, 0.333)
O (0.325, 0.649, 0.625)
O (0.325, 0.851, 0.125)
O (0.471, 0.240, 0.623)
O (0.471, 0.260, 0.123)
O (0.529, 0.740, 0.877)
O (0.529, 0.760, 0.377)
O (0.675, 0.149, 0.875)
O (0.675, 0.351, 0.375)
O (0.730, 0.533, 0.667)
O (0.730, 0.967, 0.167)
O (0.735, 0.535, 0.083)
O (0.735, 0.965, 0.583)

Largest 8 diffraction maxima, by intensity, 2θ from 15° to 90°:
2θ/deg	I/Imax
29.76	100.0
29.26	92.5
33.04	76.5
30.32	74.8
33.15	73.9
22.94	73.0
27.88	62.1
17.47	49.4